Ho5MgZn4: theoretical XRD peak list (CuKα), based on a GGA-PBE-relaxed structure.
Kinematic intensities with the Lorentz-polarization factor, no thermal factor.

Main lines, in order of rising 2θ (2θ = 10–90°):
| Position (°2θ) | I/Imax |
| --- | --- |
| 24.13 | 115 |
| 25.11 | 268 |
| 35.10 | 1000 |
| 35.81 | 546 |
| 38.77 | 119 |
| 51.54 | 199 |
| 62.51 | 117 |
| 63.89 | 345 |

Structural model:
```
data_Ho5MgZn4
_chemical_formula_sum 'Ho5 Mg1 Zn4'
_space_group_name_H-M_alt 'P 4/m m m'
_space_group_IT_number 123
_space_group_name_Hall '-P 4 2'
_cell_length_a 3.5467
_cell_length_b 3.5467
_cell_length_c 18.4421
_cell_angle_alpha 90.00
_cell_angle_beta 90.00
_cell_angle_gamma 90.00
loop_
_atom_site_label
_atom_site_type_symbol
_atom_site_fract_x
_atom_site_fract_y
_atom_site_fract_z
Ho1 Ho 0.0000 0.0000 0.0000
Ho2 Ho 0.0000 0.0000 0.1912
Ho3 Ho 0.0000 0.0000 0.3811
Mg1 Mg 0.5000 0.5000 0.5000
Zn1 Zn 0.5000 0.5000 0.0960
Zn2 Zn 0.5000 0.5000 0.2892
```


SmSbN2O: theoretical XRD peak list (CuKα), based on a GGA-PBE-relaxed structure.
Kinematic intensities with the Lorentz-polarization factor, no thermal factor.

Main lines, in order of rising 2θ (2θ = 10–90°):
| Position (°2θ) | I/Imax |
| --- | --- |
| 27.96 | 283 |
| 30.19 | 268 |
| 31.85 | 1000 |
| 41.61 | 220 |
| 49.42 | 157 |
| 54.68 | 235 |
| 59.02 | 173 |
| 60.09 | 117 |

Structural model:
```
data_SmSbN2O
_chemical_formula_sum 'Sm2 Sb2 N4 O2'
_space_group_name_H-M_alt 'P m c 21'
_space_group_IT_number 26
_cell_length_a 3.6800
_cell_length_b 6.3926
_cell_length_c 5.9204
_cell_angle_alpha 90.00
_cell_angle_beta 90.00
_cell_angle_gamma 90.00
loop_
_space_group_symop_operation_xyz
'x,y,z'
'-x,-y,z+1/2'
'-x,y,z'
'x,-y,z+1/2'
loop_
_atom_site_label
_atom_site_type_symbol
_atom_site_fract_x
_atom_site_fract_y
_atom_site_fract_z
Sm1 Sm 0.0000 0.1537 0.0000
Sb1 Sb 0.5000 0.3258 0.5360
N1 N 0.0000 0.2054 0.5934
N2 N 0.5000 0.3957 0.8881
O1 O 0.5000 0.0976 0.2788
```


AgSe3I: theoretical XRD peak list (CuKα), based on a GGA-PBE-relaxed structure.
Kinematic intensities with the Lorentz-polarization factor, no thermal factor.

Main lines, in order of rising 2θ (2θ = 10–90°):
| Position (°2θ) | I/Imax |
| --- | --- |
| 22.39 | 635 |
| 28.02 | 835 |
| 28.57 | 652 |
| 32.08 | 616 |
| 32.21 | 1000 |
| 37.62 | 305 |
| 46.57 | 426 |
| 53.99 | 414 |

Structural model:
```
data_AgSe3I
_chemical_formula_sum 'Ag4 Se12 I4'
_space_group_name_H-M_alt 'P m n a'
_space_group_IT_number 53
_cell_length_a 15.0700
_cell_length_b 4.7401
_cell_length_c 8.3067
_cell_angle_alpha 90.00
_cell_angle_beta 90.00
_cell_angle_gamma 90.00
loop_
_space_group_symop_operation_xyz
'x,y,z'
'-x,-y,-z'
'-x+1/2,-y,z+1/2'
'x+1/2,y,-z+1/2'
'x,-y,-z'
'-x,y,z'
'-x+1/2,y,-z+1/2'
'x+1/2,-y,z+1/2'
loop_
_atom_site_label
_atom_site_type_symbol
_atom_site_fract_x
_atom_site_fract_y
_atom_site_fract_z
Ag1 Ag 0.2500 0.1969 0.2500
Se1 Se 0.0000 0.1031 0.2377
Se2 Se 0.1200 0.1256 0.6283
I1 I 0.1619 0.5000 0.0000
```


YHo5Sb2Os: theoretical XRD peak list (CuKα), based on a GGA-PBE-relaxed structure.
Kinematic intensities with the Lorentz-polarization factor, no thermal factor.

Main lines, in order of rising 2θ (2θ = 10–90°):
| Position (°2θ) | I/Imax |
| --- | --- |
| 12.51 | 366 |
| 30.52 | 1000 |
| 33.10 | 963 |
| 33.50 | 359 |
| 38.14 | 296 |
| 39.94 | 419 |
| 43.01 | 307 |
| 55.62 | 289 |

Structural model:
```
data_YHo5Sb2Os
_chemical_formula_sum 'Y2 Ho10 Sb4 Os2'
_space_group_name_H-M_alt 'A m m 2'
_space_group_IT_number 38
_cell_length_a 4.2056
_cell_length_b 14.1067
_cell_length_c 8.1847
_cell_angle_alpha 90.00
_cell_angle_beta 90.00
_cell_angle_gamma 90.00
loop_
_space_group_symop_operation_xyz
'x,y,z'
'-x,-y,z'
'-x,y,z'
'x,-y,z'
'x,y+1/2,z+1/2'
'-x,-y+1/2,z+1/2'
'-x,y+1/2,z+1/2'
'x,-y+1/2,z+1/2'
loop_
_atom_site_label
_atom_site_type_symbol
_atom_site_fract_x
_atom_site_fract_y
_atom_site_fract_z
Y1 Y 0.0000 0.0000 0.0000
Ho1 Ho 0.0000 0.1966 0.5923
Ho2 Ho 0.5000 0.0000 0.6327
Ho3 Ho 0.5000 0.1186 0.2775
Sb1 Sb 0.5000 0.1668 0.8955
Os1 Os 0.0000 0.0000 0.3981
```


MgFe2S3: theoretical XRD peak list (CuKα), based on a GGA-PBE-relaxed structure.
Kinematic intensities with the Lorentz-polarization factor, no thermal factor.

Main lines, in order of rising 2θ (2θ = 10–90°):
| Position (°2θ) | I/Imax |
| --- | --- |
| 15.09 | 838 |
| 36.46 | 501 |
| 40.65 | 1000 |
| 50.99 | 153 |
| 51.61 | 209 |
| 54.02 | 198 |
| 63.79 | 128 |
| 69.78 | 155 |

Structural model:
```
data_MgFe2S3
_chemical_formula_sum 'Mg4 Fe8 S12'
_space_group_name_H-M_alt 'C m c m'
_space_group_IT_number 63
_space_group_name_Hall '-C 2c 2'
_cell_length_a 3.3951
_cell_length_b 11.7462
_cell_length_c 8.8710
_cell_angle_alpha 90.00
_cell_angle_beta 90.00
_cell_angle_gamma 90.00
loop_
_atom_site_label
_atom_site_type_symbol
_atom_site_fract_x
_atom_site_fract_y
_atom_site_fract_z
Mg1 Mg 0.0000 0.2438 0.2500
Fe1 Fe 0.0000 0.0000 0.0000
Fe2 Fe 0.0000 0.4547 0.7500
S1 S 0.0000 0.0797 0.7500
S2 S 0.0000 0.3655 0.5337
```